[1]
Starting from a cell relaxed with PBE, the powder diffraction line list of VGePt6 was calculated for Cu Kα.
Peak positions follow from Bragg's law for the DFT cell and can differ from measured ones.

Principal peaks in the range 10 to 80 degrees two-theta, sorted by position:
(hkl), two_theta, Rel. int.
0 0 2, 15.61, 13
0 2 0, 22.73, 8
0 2 2, 27.69, 14
2 0 2, 36.19, 7
0 2 4, 39.21, 100
2 2 0, 39.98, 97
2 0 4, 45.86, 64
0 4 0, 46.42, 32
0 0 8, 65.80, 10
2 4 4, 67.31, 41
4 0 0, 67.93, 10
2 2 8, 79.85, 25

Structure:
Lattice parameters (Å, degrees): 5.520 7.825 11.354 90.00 90.00 90.00
Space group Fmmm (No. 69)
One atom of each set of equivalent atoms:
V 0.000 0.000 0.000
Ge 0.000 0.000 0.500
Pt 0.000 0.000 0.242
Pt 0.250 0.250 0.121

---

[2]
Starting from a cell relaxed with PBE, the powder diffraction line list of V3GePt was calculated for Cu Kα.
Peak positions follow from Bragg's law for the DFT cell and can differ from measured ones.

Principal peaks in the range 10 to 80 degrees two-theta, sorted by position:
(hkl), two_theta, Rel. int.
0 0 1, 13.42, 92
0 1 0, 19.07, 24
1 0 -1, 25.42, 100
1 1 2, 28.72, 30
1 1 -1, 29.39, 26
1 0 2, 30.11, 31
1 -1 0, 31.51, 40
2 1 1, 35.19, 55
0 0 3, 41.04, 55
2 2 1, 42.04, 48
0 2 2, 43.15, 93
0 2 -1, 43.62, 88

Structure:
Lattice parameters (Å, degrees): 5.146 5.154 6.987 74.06 74.10 66.91
Space group P-1 (No. 2)
One atom of each set of equivalent atoms:
V 0.075 0.090 0.191
V 0.076 0.576 0.163
V 0.410 0.425 0.810
Ge 0.160 0.662 0.495
Pt 0.400 0.900 0.868

---

[3]
Starting from a cell relaxed with PBE, the powder diffraction line list of V4GePt was calculated for Cu Kα.
Peak positions follow from Bragg's law for the DFT cell and can differ from measured ones.

Principal peaks in the range 10 to 80 degrees two-theta, sorted by position:
(hkl), two_theta, Rel. int.
0 0 1, 17.21, 14
2 0 0, 23.86, 49
2 0 1, 29.57, 31
3 1 0, 41.96, 91
2 0 2, 42.66, 100
3 1 -1, 45.66, 8
2 2 0, 48.84, 8
3 1 -2, 55.63, 9
2 2 2, 61.37, 33
6 0 0, 76.64, 14
5 1 2, 77.13, 33
1 1 4, 78.57, 15

Structure:
Lattice parameters (Å, degrees): 7.459 4.307 5.152 90.00 90.07 90.00
Space group C2/m (No. 12)
One atom of each set of equivalent atoms:
V 0.166 0.000 0.317
V 0.167 0.000 0.834
Ge 0.000 0.500 0.000
Pt 0.000 0.500 0.500

---

[4]
Starting from a cell relaxed with PBE, the powder diffraction line list of V4Ge2Pt was calculated for Cu Kα.
Peak positions follow from Bragg's law for the DFT cell and can differ from measured ones.

Principal peaks in the range 10 to 80 degrees two-theta, sorted by position:
(hkl), two_theta, Rel. int.
0 0 2, 13.25, 100
1 0 1, 20.50, 46
1 1 0, 27.55, 87
1 0 3, 27.95, 59
1 0 5, 39.03, 90
2 0 0, 39.36, 84
0 0 6, 40.51, 17
2 0 2, 41.70, 24
2 1 3, 48.96, 27
2 1 5, 56.63, 59
2 2 0, 56.88, 28
2 0 6, 57.76, 23

Structure:
Lattice parameters (Å, degrees): 4.579 4.579 13.360 90.00 90.00 90.00
Space group I4/mmm (No. 139)
One atom of each set of equivalent atoms:
V 0.000 0.000 0.187
V 0.000 0.500 0.000
Ge 0.000 0.000 0.375
Pt 0.000 0.000 0.000

---

[5]
Starting from a cell relaxed with PBE, the powder diffraction line list of V12Ge3Pt was calculated for Cu Kα.
Peak positions follow from Bragg's law for the DFT cell and can differ from measured ones.

Principal peaks in the range 10 to 80 degrees two-theta, sorted by position:
(hkl), two_theta, Rel. int.
1 0 0, 18.59, 14
1 0 1, 20.82, 15
1 1 0, 26.42, 42
0 0 4, 37.66, 47
2 0 0, 37.78, 23
1 2 0, 42.33, 59
2 0 2, 42.41, 30
1 2 2, 46.60, 100
2 1 2, 46.67, 50
2 0 6, 71.19, 10
1 2 6, 74.32, 35
2 3 2, 74.45, 36

Structure:
Lattice parameters (Å, degrees): 4.762 4.771 9.563 90.00 90.00 90.00
Space group Pmmm (No. 47)
One atom of each set of equivalent atoms:
V 0.000 0.000 0.121
V 0.000 0.000 0.370
V 0.251 0.500 0.252
V 0.500 0.247 0.500
V 0.500 0.250 0.000
Ge 0.000 0.500 0.500
Ge 0.500 0.000 0.252
Pt 0.000 0.500 0.000

---

[6]
Starting from a cell relaxed with PBE, the powder diffraction line list of Y2Ge3Pt5 was calculated for Cu Kα.
Peak positions follow from Bragg's law for the DFT cell and can differ from measured ones.

Principal peaks in the range 10 to 80 degrees two-theta, sorted by position:
(hkl), two_theta, Rel. int.
0 4 1, 19.45, 21
1 3 1, 26.82, 25
0 4 2, 29.85, 21
1 3 2, 35.23, 89
1 7 1, 35.64, 100
1 5 2, 38.29, 43
0 10 1, 39.15, 29
1 9 0, 39.28, 18
2 0 0, 42.10, 80
1 1 3, 45.03, 22
1 9 2, 47.68, 19
3 7 1, 72.70, 18

Structure:
Lattice parameters (Å, degrees): 4.294 24.418 6.869 90.00 90.00 90.00
Space group Cmc2_1 (No. 36)
One atom of each set of equivalent atoms:
Y 0.000 0.026 0.000
Y 0.000 0.326 0.041
Ge 0.000 0.123 0.241
Ge 0.000 0.273 0.594
Ge 0.000 0.452 0.208
Pt 0.000 0.093 0.605
Pt 0.000 0.192 0.857
Pt 0.000 0.226 0.283
Pt 0.000 0.375 0.506
Pt 0.000 0.449 0.831

---

[7]
Starting from a cell relaxed with PBE, the powder diffraction line list of Y3Ge4Pt4 was calculated for Cu Kα.
Peak positions follow from Bragg's law for the DFT cell and can differ from measured ones.

Principal peaks in the range 10 to 80 degrees two-theta, sorted by position:
(hkl), two_theta, Rel. int.
0 0 3, 20.83, 19
1 0 0, 22.82, 15
1 0 -3, 33.43, 25
1 1 3, 33.91, 100
1 1 -3, 42.04, 9
0 2 1, 42.13, 27
0 1 6, 44.30, 23
2 0 1, 46.04, 21
1 1 6, 47.36, 25
1 -2 3, 54.84, 9
2 -2 0, 64.27, 9
1 1 -7, 66.79, 10

Structure:
Lattice parameters (Å, degrees): 3.943 4.290 13.117 80.62 81.36 89.85
Space group P-1 (No. 2)
One atom of each set of equivalent atoms:
Y 0.000 0.000 0.000
Y 0.146 0.646 0.710
Ge 0.309 0.809 0.381
Ge 0.451 0.453 0.096
Pt 0.252 0.252 0.496
Pt 0.405 0.906 0.190

---

[8]
Starting from a cell relaxed with PBE, the powder diffraction line list of YGe4Pt12 was calculated for Cu Kα.
Peak positions follow from Bragg's law for the DFT cell and can differ from measured ones.

Principal peaks in the range 10 to 80 degrees two-theta, sorted by position:
(hkl), two_theta, Rel. int.
1 1 0, 14.62, 4
3 0 1, 33.06, 100
3 1 2, 39.35, 35
3 3 0, 44.88, 6
4 0 2, 47.45, 16
3 3 2, 49.92, 8
4 2 2, 52.31, 14
4 3 1, 54.62, 30
5 3 0, 63.29, 12
6 0 0, 65.35, 12
6 1 3, 75.21, 17
5 4 3, 79.02, 5

Structure:
Lattice parameters (Å, degrees): 8.568 8.568 8.568 90.00 90.00 90.00
Space group Im-3 (No. 204)
One atom of each set of equivalent atoms:
Y 0.000 0.000 0.000
Ge 0.250 0.250 0.250
Pt 0.000 0.344 0.156